# 1
For MgNiF5, the PBE+U geometry in the Materials Project gives the theoretical XRD peak list in this record (Cu Kα).
No peak broadening, texture or thermal motion is included.

Structure:
a = 8.467 Å, b = 6.017 Å, c = 7.451 Å
α = 90.00°, β = 116.38°, γ = 90.00°
Space group C2/c (No. 15)
Symmetry-distinct sites (fractional):
Mg1 0.000 0.037 0.250 (multiplicity 4)
Ni1 0.000 0.500 0.000 (multiplicity 4)
F1 0.000 0.377 0.250 (multiplicity 4)
F2 0.012 0.196 0.952 (multiplicity 8)
F3 0.237 0.477 0.625 (multiplicity 8)

The 8 most intense peaks (10° ≤ 2θ ≤ 80°), by angle:
d [Å]  two_theta  I (rel.)  hkl
4.714  18.83  47.3  1 1 0
3.793  23.46  89.9  2 0 0
3.167  28.17  100.0  1 1 -2
3.008  29.70  36.0  0 2 0
1.896  47.97  31.6  4 0 0
1.863  48.90  21.6  2 0 -4
1.766  51.77  36.4  1 3 -2
1.603  57.48  18.0  4 2 0



# 2
For LiMnF4, the PBE+U geometry in the Materials Project gives the theoretical XRD peak list in this record (Cu Kα).
No peak broadening, texture or thermal motion is included.

Structure:
a = 5.534 Å, b = 4.737 Å, c = 5.824 Å
α = 90.00°, β = 113.47°, γ = 90.00°
Space group P2_1/c (No. 14)
Symmetry-distinct sites (fractional):
Li1 0.000 0.000 0.000 (multiplicity 2)
Mn1 0.500 0.000 0.500 (multiplicity 2)
F1 0.174 0.181 0.358 (multiplicity 4)
F2 0.352 0.718 0.641 (multiplicity 4)

The 8 most intense peaks (10° ≤ 2θ ≤ 80°), by angle:
d [Å]  two_theta  I (rel.)  hkl
5.076  17.47  91.4  1 0 0
3.544  25.13  75.5  0 1 1
3.351  26.60  100.0  1 1 -1
2.884  31.01  19.3  1 0 -2
2.327  38.70  37.1  0 1 2
2.237  40.32  26.8  2 1 0
1.794  50.89  19.7  1 1 -3
1.676  54.79  27.0  2 2 -2



# 3
For Li17Co8O18, the PBE+U geometry in the Materials Project gives the theoretical XRD peak list in this record (Cu Kα).
No peak broadening, texture or thermal motion is included.

Structure:
a = 7.611 Å, b = 7.759 Å, c = 9.583 Å
α = 92.30°, β = 103.22°, γ = 118.85°
Space group P1 (No. 1)
Symmetry-distinct sites (fractional):
Li1 0.000 0.000 0.000 (multiplicity 1)
Li2 0.002 0.146 0.244 (multiplicity 1)
Li3 0.020 0.692 0.518 (multiplicity 1)
Li4 0.090 0.408 0.473 (multiplicity 1)
Li5 0.139 0.153 0.748 (multiplicity 1)
Li6 0.262 0.523 0.253 (multiplicity 1)
Li7 0.314 0.929 0.755 (multiplicity 1)
Li8 0.339 0.450 0.026 (multiplicity 1)
Li9 0.379 0.782 0.482 (multiplicity 1)
Li10 0.455 0.217 0.960 (multiplicity 1)
Li11 0.555 0.942 0.281 (multiplicity 1)
Li12 0.661 0.701 0.221 (multiplicity 1)
Li13 0.696 0.227 0.495 (multiplicity 1)
Li14 0.740 0.611 0.983 (multiplicity 1)
Li15 0.858 0.986 0.504 (multiplicity 1)
Li16 0.908 0.724 0.773 (multiplicity 1)
Li17 0.976 0.453 0.729 (multiplicity 1)
Co1 0.132 0.842 0.256 (multiplicity 1)
Co2 0.221 0.778 0.014 (multiplicity 1)
Co3 0.266 0.117 0.481 (multiplicity 1)
Co4 0.440 0.595 0.741 (multiplicity 1)
Co5 0.573 0.543 0.502 (multiplicity 1)
Co6 0.736 0.033 0.770 (multiplicity 1)
Co7 0.794 0.381 0.234 (multiplicity 1)
Co8 0.874 0.308 0.989 (multiplicity 1)
O1 0.080 0.605 0.336 (multiplicity 1)
O2 0.084 0.279 0.084 (multiplicity 1)
O3 0.113 0.966 0.593 (multiplicity 1)
O4 0.191 0.962 0.913 (multiplicity 1)
O5 0.256 0.662 0.646 (multiplicity 1)
O6 0.280 0.342 0.415 (multiplicity 1)
O7 0.392 0.401 0.843 (multiplicity 1)
O8 0.400 0.013 0.387 (multiplicity 1)
O9 0.402 0.718 0.117 (multiplicity 1)
O10 0.589 0.749 0.411 (multiplicity 1)
O11 0.607 0.121 0.876 (multiplicity 1)
O12 0.609 0.437 0.131 (multiplicity 1)
O13 0.729 0.804 0.829 (multiplicity 1)
O14 0.784 0.508 0.585 (multiplicity 1)
O15 0.817 0.192 0.333 (multiplicity 1)
O16 0.887 0.179 0.654 (multiplicity 1)
O17 0.922 0.870 0.164 (multiplicity 1)
O18 0.946 0.551 0.914 (multiplicity 1)

The 8 most intense peaks (10° ≤ 2θ ≤ 80°), by angle:
d [Å]  two_theta  I (rel.)  hkl
6.123  14.47  48.1  1 0 -1
5.067  17.50  100.0  1 -1 1
3.767  23.62  31.5  1 1 0
3.703  24.04  38.4  2 -1 0
3.338  26.71  34.5  0 2 -1
3.275  27.23  30.1  -2 1 2
3.128  28.54  23.4  1 0 -3
2.909  30.73  54.2  -1 1 3



# 4
For MgSiNiO5, the PBE+U geometry in the Materials Project gives the theoretical XRD peak list in this record (Cu Kα).
No peak broadening, texture or thermal motion is included.

Structure:
a = 5.258 Å, b = 5.291 Å, c = 6.853 Å
α = 105.51°, β = 104.33°, γ = 106.74°
Space group P1 (No. 1)
Symmetry-distinct sites (fractional):
Mg1 0.000 0.000 0.000 (multiplicity 1)
Mg2 0.322 0.651 0.499 (multiplicity 1)
Si1 0.339 0.651 0.992 (multiplicity 1)
Si2 0.988 0.004 0.492 (multiplicity 1)
Ni1 0.664 0.328 0.242 (multiplicity 1)
Ni2 0.664 0.328 0.742 (multiplicity 1)
O1 0.008 0.227 0.366 (multiplicity 1)
O2 0.029 0.596 0.818 (multiplicity 1)
O3 0.298 0.061 0.667 (multiplicity 1)
O4 0.320 0.426 0.117 (multiplicity 1)
O5 0.388 0.966 0.159 (multiplicity 1)
O6 0.572 0.415 0.492 (multiplicity 1)
O7 0.576 0.673 0.873 (multiplicity 1)
O8 0.750 0.982 0.610 (multiplicity 1)
O9 0.756 0.241 0.992 (multiplicity 1)
O10 0.941 0.689 0.327 (multiplicity 1)

The 8 most intense peaks (10° ≤ 2θ ≤ 80°), by angle:
d [Å]  two_theta  I (rel.)  hkl
4.715  18.82  100.0  0 1 0
3.170  28.15  92.0  0 1 -2
3.140  28.42  89.0  1 0 -2
2.839  31.51  89.9  1 1 0
2.528  35.51  50.9  1 -2 0
2.511  35.76  58.4  1 -1 2
2.482  36.19  51.0  -1 1 2
1.572  58.75  45.7  3 0 0



# 5
For LiMn3OF5, the PBE+U geometry in the Materials Project gives the theoretical XRD peak list in this record (Cu Kα).
No peak broadening, texture or thermal motion is included.

Structure:
a = 14.207 Å, b = 10.178 Å, c = 10.141 Å
α = 90.00°, β = 134.32°, γ = 90.00°
Space group Cc (No. 9)
Symmetry-distinct sites (fractional):
Li1 0.000 0.234 0.000 (multiplicity 4)
Li2 0.013 0.251 0.514 (multiplicity 4)
Mn1 0.200 0.242 0.424 (multiplicity 4)
Mn2 0.232 0.038 0.219 (multiplicity 4)
Mn3 0.240 0.454 0.721 (multiplicity 4)
Mn4 0.265 0.255 0.991 (multiplicity 4)
Mn5 0.493 0.494 0.748 (multiplicity 4)
Mn6 0.499 0.011 0.187 (multiplicity 4)
O1 0.094 0.110 0.211 (multiplicity 4)
O2 0.129 0.351 0.749 (multiplicity 4)
F1 0.084 0.392 0.424 (multiplicity 4)
F2 0.114 0.150 0.952 (multiplicity 4)
F3 0.127 0.123 0.523 (multiplicity 4)
F4 0.139 0.377 0.203 (multiplicity 4)
F5 0.347 0.117 0.919 (multiplicity 4)
F6 0.348 0.391 0.225 (multiplicity 4)
F7 0.350 0.344 0.678 (multiplicity 4)
F8 0.374 0.153 0.493 (multiplicity 4)
F9 0.379 0.108 0.220 (multiplicity 4)
F10 0.407 0.381 0.012 (multiplicity 4)

The 8 most intense peaks (10° ≤ 2θ ≤ 80°), by angle:
d [Å]  two_theta  I (rel.)  hkl
5.080  17.46  44.7  2 0 0
4.171  21.30  30.1  0 2 1
3.594  24.77  38.9  2 2 0
2.954  30.26  100.0  0 2 2
2.913  30.70  88.5  4 2 -2
2.274  39.64  20.3  2 4 -2
1.814  50.31  19.1  0 0 4
1.797  50.81  69.9  4 4 0



# 6
For Ti3CrP6O24, the PBE+U geometry in the Materials Project gives the theoretical XRD peak list in this record (Cu Kα).
No peak broadening, texture or thermal motion is included.

Structure:
a = 8.5888 Å, b = 8.5888 Å, c = 21.7909 Å
α = 90.00°, β = 90.00°, γ = 120.00°
Space group R3 (No. 146, hexagonal axes)
Symmetry-distinct sites (fractional):
Ti1 0.0000 0.0000 0.0000 (multiplicity 3)
Ti2 0.0000 0.0000 0.2210 (multiplicity 3)
Ti3 0.0000 0.0000 0.7202 (multiplicity 3)
Cr1 0.0000 0.0000 0.5017 (multiplicity 3)
P1 0.0010 0.2817 0.6104 (multiplicity 9)
P2 0.0031 0.7177 0.1109 (multiplicity 9)
O1 0.0200 0.8252 0.7705 (multiplicity 9)
O2 0.0268 0.1904 0.5517 (multiplicity 9)
O3 0.0307 0.1991 0.2692 (multiplicity 9)
O4 0.0373 0.8328 0.0535 (multiplicity 9)
O5 0.1597 0.6889 0.8349 (multiplicity 9)
O6 0.1654 0.4726 0.3341 (multiplicity 9)
O7 0.1704 0.4677 0.6161 (multiplicity 9)
O8 0.1738 0.6946 0.1202 (multiplicity 9)

The 8 most intense peaks (10° ≤ 2θ ≤ 80°), by angle:
d [Å]  two_theta  I (rel.)  hkl
6.143  14.42  40.5  0 1 2
4.395  20.20  50.0  1 0 4
4.294  20.68  21.0  1 1 0
3.697  24.07  100.0  2 -1 3
3.072  29.07  41.4  0 2 4
2.788  32.10  15.4  3 -1 1
2.773  32.28  24.1  2 -1 6
1.721  53.22  16.3  3 -1 10



# 7
For ZrFeF6, the PBE+U geometry in the Materials Project gives the theoretical XRD peak list in this record (Cu Kα).
No peak broadening, texture or thermal motion is included.

Structure:
a = 8.214 Å, b = 8.214 Å, c = 8.214 Å
α = 90.00°, β = 90.00°, γ = 90.00°
Space group Fm-3m (No. 225)
Symmetry-distinct sites (fractional):
Zr1 0.000 0.000 0.000 (multiplicity 4)
Fe1 0.000 0.000 0.500 (multiplicity 4)
F1 0.000 0.000 0.250 (multiplicity 24)

The 8 most intense peaks (10° ≤ 2θ ≤ 80°), by angle:
d [Å]  two_theta  I (rel.)  hkl
4.742  18.71  5.7  1 1 1
4.107  21.64  100.0  2 0 0
2.904  30.79  26.9  2 2 0
2.053  44.10  27.1  4 0 0
1.837  49.64  38.2  4 2 0
1.677  54.75  10.8  4 2 2
1.452  64.14  15.0  4 4 0
1.369  68.55  16.3  6 0 0